This entry pairs a crystal structure of Eu2Ge2Se5 with its simulated X-ray diffraction stick pattern. Radiation: CuKα. Structure: a cell relaxed with PBE.
Neutral-atom scattering factors, no anomalous dispersion.

Most intense lines, 5° ≤ 2θ ≤ 70°, in order of rising 2θ:
h k l  d_spacing  two_theta  Rel. int.
1 3 -1  3.710  24.0  51.8
2 0 0  3.226  27.7  40.0
1 3 1  2.924  30.6  55.4
2 1 -4  2.906  30.8  100.0
2 2 0  2.861  31.3  58.3
1 3 -3  2.829  31.6  45.3
3 1 -3  2.754  32.5  39.8
2 2 -4  2.691  33.3  39.0

Atomic structure:
a = 8.4980 Å, b = 12.3868 Å, c = 11.9799 Å
α = 90.00°, β = 130.60°, γ = 90.00°
Sites, in units of the cell vectors:
Eu (0.0137, 0.1631, 0.4772)
Eu (0.0137, 0.3369, 0.9772)
Eu (0.4782, 0.6947, 0.5229)
Eu (0.4782, 0.8053, 0.0229)
Eu (0.5218, 0.1947, 0.9771)
Eu (0.5218, 0.3053, 0.4771)
Eu (0.9863, 0.6631, 0.0228)
Eu (0.9863, 0.8369, 0.5228)
Ge (0.1545, 0.0470, 0.1706)
Ge (0.1545, 0.4530, 0.6706)
Ge (0.4843, 0.0194, 0.6847)
Ge (0.4843, 0.4806, 0.1847)
Ge (0.5157, 0.5194, 0.8153)
Ge (0.5157, 0.9806, 0.3153)
Ge (0.8455, 0.5470, 0.3294)
Ge (0.8455, 0.9530, 0.8294)
Se (0.0556, 0.2053, 0.2259)
Se (0.0556, 0.2947, 0.7259)
Se (0.1021, 0.0974, 0.9459)
Se (0.1021, 0.4026, 0.4459)
Se (0.2518, 0.5651, 0.9517)
Se (0.2518, 0.9349, 0.4517)
Se (0.3116, 0.5086, 0.2811)
Se (0.3116, 0.9914, 0.7811)
Se (0.4910, 0.7148, 0.7935)
Se (0.4910, 0.7852, 0.2935)
Se (0.5090, 0.2148, 0.7065)
Se (0.5090, 0.2852, 0.2065)
Se (0.6884, 0.0086, 0.2189)
Se (0.6884, 0.4914, 0.7189)
Se (0.7482, 0.0651, 0.5483)
Se (0.7482, 0.4349, 0.0483)
Se (0.8979, 0.5974, 0.5541)
Se (0.8979, 0.9026, 0.0541)
Se (0.9444, 0.7053, 0.2741)
Se (0.9444, 0.7947, 0.7741)

=====

This entry pairs a crystal structure of EuSiGe2 with its simulated X-ray diffraction stick pattern. Radiation: CuKα. Structure: a cell relaxed with PBE.
Neutral-atom scattering factors, no anomalous dispersion.

Most intense lines, 5° ≤ 2θ ≤ 70°, in order of rising 2θ:
h k l  d_spacing  two_theta  Rel. int.
1 0 1  3.725  23.9  76.2
1 0 4  2.731  32.8  100.0
0 1 5  2.416  37.2  68.1
1 1 0  2.215  40.7  83.4
0 2 4  1.720  53.3  24.8
2 0 5  1.633  56.4  20.2
1 1 9  1.362  68.9  20.1
2 1 4  1.359  69.1  22.6

Atomic structure:
a = 4.4296 Å, b = 4.4296 Å, c = 15.5530 Å
α = 90.00°, β = 90.00°, γ = 120.00°
Sites, in units of the cell vectors:
Eu (0.0000, 0.0000, 0.0000)
Eu (0.3333, 0.6667, 0.6667)
Eu (0.6667, 0.3333, 0.3333)
Si (0.0000, 0.0000, 0.5000)
Si (0.3333, 0.6667, 0.1667)
Si (0.6667, 0.3333, 0.8333)
Ge (0.0000, 0.0000, 0.2123)
Ge (0.0000, 0.0000, 0.7877)
Ge (0.3333, 0.6667, 0.4544)
Ge (0.3333, 0.6667, 0.8790)
Ge (0.6667, 0.3333, 0.1210)
Ge (0.6667, 0.3333, 0.5456)

=====

This entry pairs a crystal structure of EuVGe2 with its simulated X-ray diffraction stick pattern. Radiation: CuKα. Structure: a cell relaxed with PBE.
Neutral-atom scattering factors, no anomalous dispersion.

Most intense lines, 5° ≤ 2θ ≤ 70°, in order of rising 2θ:
h k l  d_spacing  two_theta  Rel. int.
1 0 1  3.031  29.5  28.6
1 1 0  2.395  37.5  100.0
0 0 3  2.255  40.0  8.6
2 0 0  1.695  54.1  13.1
1 1 3  1.642  56.0  11.5
2 1 1  1.479  62.8  7.0
2 1 2  1.383  67.7  25.9
2 0 3  1.355  69.4  5.8

Atomic structure:
a = 3.3902 Å, b = 3.3902 Å, c = 6.7634 Å
α = 90.00°, β = 90.00°, γ = 90.00°
Sites, in units of the cell vectors:
Eu (0.0000, 0.0000, 0.0000)
V (0.0000, 0.0000, 0.5000)
Ge (0.5000, 0.5000, 0.3083)
Ge (0.5000, 0.5000, 0.6917)

=====

This entry pairs a crystal structure of EuZnGe with its simulated X-ray diffraction stick pattern. Radiation: CuKα. Structure: a cell relaxed with PBE.
Neutral-atom scattering factors, no anomalous dispersion.

Most intense lines, 5° ≤ 2θ ≤ 70°, in order of rising 2θ:
h k l  d_spacing  two_theta  Rel. int.
1 0 0  3.705  24.0  11.8
1 0 1  2.840  31.5  100.0
0 0 2  2.212  40.8  14.4
1 1 0  2.139  42.3  39.1
1 0 2  1.899  47.9  3.9
2 0 1  1.709  53.6  21.9
1 1 2  1.538  60.2  26.9
1 0 3  1.370  68.5  10.5

Atomic structure:
a = 4.2777 Å, b = 4.2777 Å, c = 4.4243 Å
α = 90.00°, β = 90.00°, γ = 120.00°
Sites, in units of the cell vectors:
Eu (0.0000, 0.0000, 0.0000)
Zn (0.3333, 0.6667, 0.5000)
Ge (0.6667, 0.3333, 0.5000)

=====

This entry pairs a crystal structure of EuZnGe with its simulated X-ray diffraction stick pattern. Radiation: CuKα. Structure: a cell relaxed with PBE.
Neutral-atom scattering factors, no anomalous dispersion.

Most intense lines, 5° ≤ 2θ ≤ 70°, in order of rising 2θ:
h k l  d_spacing  two_theta  Rel. int.
0 2 2  2.816  31.8  51.7
1 1 2  2.805  31.9  100.0
1 3 0  2.181  41.4  43.2
2 0 0  2.166  41.7  21.1
0 0 4  2.107  42.9  19.5
2 2 2  1.717  53.4  23.6
1 3 4  1.515  61.2  26.6
2 0 4  1.510  61.4  13.2

Atomic structure:
a = 4.3312 Å, b = 7.5712 Å, c = 8.4283 Å
α = 90.00°, β = 90.00°, γ = 90.00°
Sites, in units of the cell vectors:
Eu (0.0000, 0.0000, 0.2499)
Eu (0.0000, 0.0000, 0.7501)
Eu (0.5000, 0.5000, 0.2501)
Eu (0.5000, 0.5000, 0.7499)
Zn (0.0000, 0.3330, 0.0000)
Zn (0.0000, 0.6670, 0.0000)
Zn (0.5000, 0.1670, 0.5000)
Zn (0.5000, 0.8330, 0.5000)
Ge (0.0000, 0.3315, 0.5000)
Ge (0.0000, 0.6685, 0.5000)
Ge (0.5000, 0.1685, 0.0000)
Ge (0.5000, 0.8315, 0.0000)

=====

This entry pairs a crystal structure of Eu3H with its simulated X-ray diffraction stick pattern. Radiation: CuKα. Structure: a cell relaxed with PBE.
Neutral-atom scattering factors, no anomalous dispersion.

Most intense lines, 5° ≤ 2θ ≤ 70°, in order of rising 2θ:
h k l  d_spacing  two_theta  Rel. int.
1 1 0  3.310  26.9  50.6
0 0 2  3.186  28.0  50.4
0 3 1  3.145  28.4  100.0
1 2 1  2.660  33.7  57.6
1 1 2  2.295  39.2  36.8
1 4 1  2.027  44.7  25.9
0 3 3  1.831  49.8  20.0
2 3 1  1.521  60.9  23.2

Atomic structure:
a = 3.4759 Å, b = 10.8497 Å, c = 6.3712 Å
α = 90.00°, β = 90.00°, γ = 90.00°
Sites, in units of the cell vectors:
Eu (0.0000, 0.0000, 0.0000)
Eu (0.0000, 0.1668, 0.4697)
Eu (0.0000, 0.8332, 0.4697)
Eu (0.5000, 0.3332, 0.9697)
Eu (0.5000, 0.5000, 0.5000)
Eu (0.5000, 0.6668, 0.9697)
H (0.0000, 0.5000, 0.8177)
H (0.5000, 0.0000, 0.3177)